Diffraction record for Ti8Al4CN3. The powder XRD pattern is calculated, not measured: it uses a structure optimized by DFT (PBE) and Cu Kα X-rays.
Lines closer than 0.1° are merged.

Crystal structure
```
data_Ti8Al4CN3
_chemical_formula_sum 'Ti8 Al4 C1 N3'
_cell_length_a 3.0174
_cell_length_b 3.0174
_cell_length_c 27.2876
_cell_angle_alpha 90.00
_cell_angle_beta 90.00
_cell_angle_gamma 120.00
_symmetry_space_group_name_H-M 'P -3 m 1'
_symmetry_Int_Tables_number 164
_symmetry_space_group_name_Hall '-P 3 2"'
loop_
_atom_site_label
_atom_site_fract_x
_atom_site_fract_y
_atom_site_fract_z
_atom_site_occupancy
Ti1 0.3333 0.6667 0.0424 1
Ti2 0.3333 0.6667 0.2063 1
Ti3 0.3333 0.6667 0.5426 1
Ti4 0.3333 0.6667 0.7090 1
Al1 0.3333 0.6667 0.3735 1
Al2 0.3333 0.6667 0.8756 1
C1 0.0000 0.0000 0.5000 1
N1 0.0000 0.0000 0.0000 1
N2 0.0000 0.0000 0.2489 1
```

Largest 6 diffraction maxima, most intense first, 10 to 90 degrees two-theta:
- 2θ = 39.8°, intensity 100.0, (1 0 6)
- 2θ = 13.0°, intensity 29.5, (0 0 4)
- 2θ = 75.7°, intensity 27.4, (1 1 12)
- 2θ = 61.5°, intensity 19.6, (1 1 0)
- 2θ = 53.4°, intensity 18.2, (0 1 12)
- 2θ = 39.6°, intensity 18.0, (0 0 12)


Diffraction record for BaSrPH2. The powder XRD pattern is calculated, not measured: it uses a structure optimized by DFT (PBE) and Cu Kα X-rays.
Lines closer than 0.1° are merged.

Crystal structure
```
data_BaSrPH2
_chemical_formula_sum 'Ba4 Sr4 P4 H8'
_cell_length_a 4.4319
_cell_length_b 13.4349
_cell_length_c 7.8278
_cell_angle_alpha 90.00
_cell_angle_beta 90.00
_cell_angle_gamma 90.00
_symmetry_space_group_name_H-M 'C m c m'
_symmetry_Int_Tables_number 63
_symmetry_space_group_name_Hall '-C 2c 2'
loop_
_atom_site_label
_atom_site_fract_x
_atom_site_fract_y
_atom_site_fract_z
_atom_site_occupancy
Ba1 0.0000 0.2336 0.2500 1
Sr1 0.0000 0.5000 0.0000 1
P1 0.0000 0.0555 0.7500 1
H1 0.0000 0.3222 0.5646 1
```

Largest 6 diffraction maxima, most intense first, 10 to 90 degrees two-theta:
- 2θ = 26.4°, intensity 100.0, (0 2 2)
- 2θ = 24.0°, intensity 96.7, (1 1 1)
- 2θ = 30.6°, intensity 86.3, (1 3 1)
- 2θ = 31.2°, intensity 61.9, (1 1 2)
- 2θ = 26.5°, intensity 61.4, (0 4 0)
- 2θ = 40.7°, intensity 52.6, (2 0 0)


Diffraction record for ErZrHgC. The powder XRD pattern is calculated, not measured: it uses a structure optimized by DFT (PBE) and Cu Kα X-rays.
Lines closer than 0.1° are merged.

Crystal structure
```
data_ErZrHgC
_chemical_formula_sum 'Er3 Zr3 Hg3 C3'
_cell_length_a 3.4362
_cell_length_b 3.4362
_cell_length_c 23.0357
_cell_angle_alpha 90.00
_cell_angle_beta 90.00
_cell_angle_gamma 120.00
_symmetry_space_group_name_H-M 'R 3 m'
_symmetry_Int_Tables_number 160
_symmetry_space_group_name_Hall 'R 3 -2"'
loop_
_atom_site_label
_atom_site_fract_x
_atom_site_fract_y
_atom_site_fract_z
_atom_site_occupancy
Er1 0.0000 0.0000 0.0000 1
Zr1 0.0000 0.0000 0.2197 1
Hg1 0.0000 0.0000 0.7797 1
C1 0.0000 0.0000 0.6029 1
```

Largest 6 diffraction maxima, most intense first, 10 to 90 degrees two-theta:
- 2θ = 35.9°, intensity 100.0, (0 1 5)
- 2θ = 33.9°, intensity 95.8, (1 0 4)
- 2θ = 30.3°, intensity 51.2, (1 0 1)
- 2θ = 35.1°, intensity 40.8, (0 0 9)
- 2θ = 65.4°, intensity 40.6, (1 1 9)
- 2θ = 53.3°, intensity 40.6, (1 1 0)


Diffraction record for Cd2PdAu3. The powder XRD pattern is calculated, not measured: it uses a structure optimized by DFT (PBE) and Cu Kα X-rays.
Lines closer than 0.1° are merged.

Crystal structure
```
data_Cd2PdAu3
_chemical_formula_sum 'Cd4 Pd2 Au6'
_cell_length_a 5.1015
_cell_length_b 6.6409
_cell_length_c 7.2945
_cell_angle_alpha 67.80
_cell_angle_beta 88.85
_cell_angle_gamma 74.69
_symmetry_space_group_name_H-M 'P -1'
_symmetry_Int_Tables_number 2
_symmetry_space_group_name_Hall '-P 1'
loop_
_atom_site_label
_atom_site_fract_x
_atom_site_fract_y
_atom_site_fract_z
_atom_site_occupancy
Cd1 0.0615 0.1235 0.3005 1
Cd2 0.3061 0.8614 0.0435 1
Pd1 0.3682 0.1249 0.6316 1
Au1 0.1180 0.3700 0.8773 1
Au2 0.2101 0.6229 0.4574 1
Au3 0.4738 0.3636 0.2200 1
```

Largest 6 diffraction maxima, most intense first, 10 to 90 degrees two-theta:
- 2θ = 37.0°, intensity 100.0, (0 1 3)
- 2θ = 37.1°, intensity 97.8, (2 1 1)
- 2θ = 37.3°, intensity 96.9, (-1 2 1)
- 2θ = 37.5°, intensity 96.6, (1 2 -1)
- 2θ = 42.9°, intensity 66.1, (1 3 2)
- 2θ = 43.1°, intensity 64.2, (1 -1 2)


Diffraction record for Cu4MoOs. The powder XRD pattern is calculated, not measured: it uses a structure optimized by DFT (PBE) and Cu Kα X-rays.
Lines closer than 0.1° are merged.

Crystal structure
```
data_Cu4MoOs
_chemical_formula_sum 'Cu16 Mo4 Os4'
_cell_length_a 6.7124
_cell_length_b 6.7124
_cell_length_c 6.7124
_cell_angle_alpha 90.00
_cell_angle_beta 90.00
_cell_angle_gamma 90.00
_symmetry_space_group_name_H-M 'F -4 3 m'
_symmetry_Int_Tables_number 216
_symmetry_space_group_name_Hall 'F -4 2 3'
loop_
_atom_site_label
_atom_site_fract_x
_atom_site_fract_y
_atom_site_fract_z
_atom_site_occupancy
Cu1 0.1247 0.1247 0.1247 1
Mo1 0.0000 0.0000 0.5000 1
Os1 0.2500 0.2500 0.7500 1
```

Largest 6 diffraction maxima, most intense first, 10 to 90 degrees two-theta:
- 2θ = 44.8°, intensity 100.0, (3 1 1)
- 2θ = 37.9°, intensity 54.7, (2 2 0)
- 2θ = 73.3°, intensity 29.6, (3 3 3)
- 2θ = 81.0°, intensity 21.8, (4 4 0)
- 2θ = 46.9°, intensity 20.4, (2 2 2)
- 2θ = 68.5°, intensity 19.2, (4 2 2)


Diffraction record for PmY4Er4. The powder XRD pattern is calculated, not measured: it uses a structure optimized by DFT (PBE) and Cu Kα X-rays.
Lines closer than 0.1° are merged.

Crystal structure
```
data_PmY4Er4
_chemical_formula_sum 'Pm2 Y8 Er8'
_cell_length_a 10.6620
_cell_length_b 10.6620
_cell_length_c 5.0169
_cell_angle_alpha 90.00
_cell_angle_beta 90.00
_cell_angle_gamma 90.00
_symmetry_space_group_name_H-M 'I 4/m m m'
_symmetry_Int_Tables_number 139
_symmetry_space_group_name_Hall '-I 4 2'
loop_
_atom_site_label
_atom_site_fract_x
_atom_site_fract_y
_atom_site_fract_z
_atom_site_occupancy
Pm1 0.0000 0.0000 0.0000 1
Y1 0.1673 0.1673 0.5000 1
Er1 0.0000 0.3355 0.0000 1
```

Largest 6 diffraction maxima, most intense first, 10 to 90 degrees two-theta:
- 2θ = 30.8°, intensity 100.0, (3 0 1)
- 2θ = 35.8°, intensity 50.4, (3 3 0)
- 2θ = 61.2°, intensity 41.9, (3 0 3)
- 2θ = 51.5°, intensity 35.5, (6 0 0)
- 2θ = 84.0°, intensity 17.2, (6 3 3)
- 2θ = 64.2°, intensity 12.1, (6 0 2)


Diffraction record for K4Se. The powder XRD pattern is calculated, not measured: it uses a structure optimized by DFT (PBE) and Cu Kα X-rays.
Lines closer than 0.1° are merged.

Crystal structure
```
data_K4Se
_chemical_formula_sum 'K4 Se1'
_cell_length_a 6.5148
_cell_length_b 6.5148
_cell_length_c 6.5148
_cell_angle_alpha 90.00
_cell_angle_beta 90.00
_cell_angle_gamma 90.00
_symmetry_space_group_name_H-M 'P m -3 m'
_symmetry_Int_Tables_number 221
_symmetry_space_group_name_Hall '-P 4 2 3'
loop_
_atom_site_label
_atom_site_fract_x
_atom_site_fract_y
_atom_site_fract_z
_atom_site_occupancy
K1 0.0000 0.0000 0.0000 1
K2 0.0000 0.5000 0.5000 1
Se1 0.5000 0.5000 0.5000 1
```

Largest 6 diffraction maxima, most intense first, 10 to 90 degrees two-theta:
- 2θ = 27.4°, intensity 100.0, (2 0 0)
- 2θ = 39.1°, intensity 71.7, (2 2 0)
- 2θ = 13.6°, intensity 55.6, (1 0 0)
- 2θ = 19.3°, intensity 50.1, (1 1 0)
- 2θ = 30.7°, intensity 31.1, (2 1 0)
- 2θ = 63.9°, intensity 29.7, (4 2 0)


Diffraction record for Ag2Pd8Pb3. The powder XRD pattern is calculated, not measured: it uses a structure optimized by DFT (PBE) and Cu Kα X-rays.
Lines closer than 0.1° are merged.

Crystal structure
```
data_Ag2Pd8Pb3
_chemical_formula_sum 'Ag6 Pd24 Pb9'
_cell_length_a 5.3717
_cell_length_b 5.3717
_cell_length_c 30.4965
_cell_angle_alpha 90.00
_cell_angle_beta 90.00
_cell_angle_gamma 120.00
_symmetry_space_group_name_H-M 'R -3 m'
_symmetry_Int_Tables_number 166
_symmetry_space_group_name_Hall '-R 3 2"'
loop_
_atom_site_label
_atom_site_fract_x
_atom_site_fract_y
_atom_site_fract_z
_atom_site_occupancy
Ag1 0.0000 0.0000 0.1386 1
Pd1 0.0000 0.0000 0.2261 1
Pd2 0.0008 0.5004 0.2705 1
Pb1 0.0000 0.0000 0.3142 1
Pb2 0.0000 0.0000 0.5000 1
```

Largest 6 diffraction maxima, most intense first, 10 to 90 degrees two-theta:
- 2θ = 37.8°, intensity 100.0, (0 1 11)
- 2θ = 33.4°, intensity 63.0, (1 1 0)
- 2θ = 62.6°, intensity 57.5, (1 2 11)
- 2θ = 37.9°, intensity 52.6, (1 1 6)
- 2θ = 39.2°, intensity 52.0, (2 0 2)
- 2θ = 41.6°, intensity 39.4, (2 0 5)